KLaMg14: calculated powder XRD pattern (Cu Ka), based on a crystal structure in the Materials Project, relaxed with PBE.
Intensities are scaled so that the largest is 100.

Structure:
a = 10.534 Å, b = 6.949 Å, c = 11.386 Å
α = 90.00°, β = 90.00°, γ = 90.00°
Space group Amm2 (No. 38)
One atom of each set of equivalent atoms:
K  0.000  0.000  0.000 (multiplicity 2)
La  0.000  0.000  0.509 (multiplicity 2)
Mg  0.000  0.239  0.251 (multiplicity 4)
Mg  0.255  0.000  0.326 (multiplicity 4)
Mg  0.259  0.000  0.823 (multiplicity 4)
Mg  0.271  0.247  0.580 (multiplicity 8)
Mg  0.500  0.000  0.497 (multiplicity 2)
Mg  0.500  0.000  0.998 (multiplicity 2)
Mg  0.500  0.248  0.251 (multiplicity 4)

Peak list (6 most intense, 10 to 90 degrees two-theta, sorted by position)
| 2θ/deg | intensity | index |
| --- | --- | --- |
| 17.2 | 22 | 1 1 1 |
| 30.1 | 22 | 0 2 2 |
| 31.4 | 27 | 0 0 4 |
| 34.0 | 31 | 4 0 0 |
| 34.7 | 100 | 2 2 2 |
| 35.9 | 37 | 2 0 4 |